Entry 1:
Computed powder X-ray diffraction pattern
Compound: YHoScIn
Radiation: Cu Kα (λ = 1.5418 Å)
Structure: a crystal structure in Alexandria, relaxed with GGA-PBE
Neutral-atom scattering factors, no anomalous dispersion.

Principal peaks in the range 15° ≤ 2θ ≤ 90°, in order of rising 2θ:
- 2θ 18.69, rel. 113
- 2θ 26.62, rel. 100
- 2θ 32.73, rel. 1000
- 2θ 37.79, rel. 168
- 2θ 37.91, rel. 167
- 2θ 38.21, rel. 163
- 2θ 54.60, rel. 113
- 2θ 54.87, rel. 223
- 2θ 65.05, rel. 132
- 2θ 65.21, rel. 131
- 2θ 65.62, rel. 128
- 2θ 68.59, rel. 112

Structure:
```
YHoScIn
1.0
4.7106 0.0000 0.0000
0.0000 4.7472 0.0000
0.0000 0.0000 4.7612
Y Ho Sc In
1 1 1 1
direct
0.0000 0.0000 0.0000
0.0000 0.5000 0.5000
0.5000 0.0000 0.5000
0.5000 0.5000 0.0000
```

Entry 2:
Computed powder X-ray diffraction pattern
Compound: Dy3InCu8
Radiation: Cu Kα (λ = 1.5418 Å)
Structure: a crystal structure in Alexandria, relaxed with GGA-PBE
Neutral-atom scattering factors, no anomalous dispersion.

Principal peaks in the range 15° ≤ 2θ ≤ 90°, in order of rising 2θ:
- 2θ 20.96, rel. 83
- 2θ 34.45, rel. 383
- 2θ 34.58, rel. 390
- 2θ 40.62, rel. 348
- 2θ 40.75, rel. 1000
- 2θ 42.66, rel. 192
- 2θ 61.91, rel. 212
- 2θ 65.94, rel. 70
- 2θ 66.10, rel. 308
- 2θ 72.64, rel. 147
- 2θ 72.94, rel. 154
- 2θ 86.99, rel. 74

Structure:
```
Dy3InCu8
1.0
2.5940 1.4976 8.5174
-2.5940 1.4976 8.5174
0.0000 -2.9953 8.5174
Dy In Cu
3 1 8
direct
0.0000 0.0000 0.0000
0.1247 0.1247 0.1247
0.6180 0.6180 0.6180
0.4937 0.4937 0.4937
0.0576 0.0576 0.5648
0.0576 0.5648 0.0576
0.0591 0.5595 0.5595
0.3093 0.3093 0.3093
0.5595 0.0591 0.5595
0.5595 0.5595 0.0591
0.5648 0.0576 0.0576
0.8103 0.8103 0.8103
```

Entry 3:
Computed powder X-ray diffraction pattern
Compound: SrTh3Sb4
Radiation: Cu Kα (λ = 1.5418 Å)
Structure: a crystal structure in Alexandria, relaxed with GGA-PBE
Neutral-atom scattering factors, no anomalous dispersion.

Principal peaks in the range 15° ≤ 2θ ≤ 90°, in order of rising 2θ:
- 2θ 15.41, rel. 64
- 2θ 23.97, rel. 88
- 2θ 27.74, rel. 1000
- 2θ 39.64, rel. 778
- 2θ 46.85, rel. 50
- 2θ 49.07, rel. 282
- 2θ 57.22, rel. 44
- 2θ 57.35, rel. 89
- 2θ 64.81, rel. 245
- 2θ 64.88, rel. 122
- 2θ 71.92, rel. 272
- 2θ 85.35, rel. 59

Structure:
```
SrTh3Sb4
1.0
6.4269 0.0000 0.0000
0.0000 6.4269 0.0000
0.0000 0.0000 12.8797
Sr Th Sb
2 6 8
direct
0.0000 0.0000 0.0000
0.5000 0.5000 0.5000
0.0000 0.0000 0.5000
0.0000 0.5000 0.2500
0.0000 0.5000 0.7500
0.5000 0.0000 0.2500
0.5000 0.0000 0.7500
0.5000 0.5000 0.0000
0.0000 0.0000 0.2535
0.0000 0.0000 0.7465
0.0000 0.5000 0.0000
0.0000 0.5000 0.5000
0.5000 0.0000 0.0000
0.5000 0.0000 0.5000
0.5000 0.5000 0.2465
0.5000 0.5000 0.7535
```